MgVMoO5: calculated powder diffraction line list (Cu Ka), based on a structure optimized by DFT (PBE+U).

Main lines, by angle (2θ from 10° to 90°):
hkl  Position (°2θ)  intensity
0 0 1  13.80  59
1 0 0  23.31  100
0 1 1  24.97  78
1 0 -1  27.46  46
0 0 2  27.80  31
0 1 -1  28.29  72
0 1 2  33.59  28
0 0 3  42.24  35
0 2 0  46.40  31
2 0 0  47.67  41

Cell and atoms:
a = 3.8168 Å, b = 3.9517 Å, c = 6.4821 Å
α = 82.10°, β = 88.63°, γ = 89.47°
Space group P1 (No. 1)
One atom of each set of equivalent atoms:
Mg (0.0000, 0.0000, 0.0000) [1 per cell]
V (0.5491, 0.9023, 0.6549) [1 per cell]
Mo (0.4926, 0.5108, 0.2731) [1 per cell]
O (0.0000, 0.4466, 0.1607) [1 per cell]
O (0.0071, 0.9158, 0.6865) [1 per cell]
O (0.5000, 0.8662, 0.9686) [1 per cell]
O (0.5058, 0.4220, 0.5909) [1 per cell]
O (0.5073, 0.9789, 0.3485) [1 per cell]

***

MgVMoO5: calculated powder diffraction line list (Cu Ka), based on a structure optimized by DFT (PBE+U).

Main lines, by angle (2θ from 10° to 90°):
hkl  Position (°2θ)  intensity
2 0 -1  18.12  71
1 1 0  25.55  100
2 0 -2  27.67  35
3 1 -1  35.62  18
2 0 1  35.96  39
4 0 -3  44.18  26
0 2 0  46.85  24
3 1 1  53.03  22
5 1 -3  54.89  18
2 2 1  60.45  15

Cell and atoms:
a = 10.0116 Å, b = 3.8780 Å, c = 6.4549 Å
α = 90.00°, β = 127.32°, γ = 90.00°
Space group Cm (No. 8)
One atom of each set of equivalent atoms:
Mg (0.0000, 0.0000, 0.0000) [2 per cell]
V (0.3476, 0.0000, 0.1807) [2 per cell]
Mo (0.1679, 0.0000, 0.5758) [2 per cell]
O (0.1025, 0.5000, 0.5258) [2 per cell]
O (0.1379, 0.0000, 0.8739) [2 per cell]
O (0.2405, 0.0000, 0.3516) [2 per cell]
O (0.4104, 0.5000, 0.2244) [2 per cell]
O (0.4136, 0.0000, 0.9338) [2 per cell]

***

MgV5Mo5O25: calculated powder diffraction line list (Cu Ka), based on a structure optimized by DFT (PBE+U).

Main lines, by angle (2θ from 10° to 90°):
hkl  Position (°2θ)  intensity
0 1 0  14.35  37
1 0 -2  21.98  100
1 0 3  24.01  38
1 1 3  24.61  49
-1 1 2  26.39  34
0 2 0  28.94  42
1 -1 3  31.19  32
1 2 3  32.57  46
0 3 0  44.03  22
2 1 6  47.41  37

Cell and atoms:
a = 5.5346 Å, b = 6.3874 Å, c = 14.1659 Å
α = 77.87°, β = 81.75°, γ = 79.68°
Space group P1 (No. 1)
One atom of each set of equivalent atoms:
Mg (0.0000, 0.0000, 0.0000) [1 per cell]
V (0.3112, 0.3547, 0.9403) [1 per cell]
V (0.3801, 0.7171, 0.3778) [1 per cell]
V (0.7714, 0.7253, 0.5721) [1 per cell]
V (0.9028, 0.3529, 0.7544) [1 per cell]
V (0.9346, 0.7173, 0.1948) [1 per cell]
Mo (0.1480, 0.3166, 0.3472) [1 per cell]
Mo (0.1524, 0.7529, 0.7705) [1 per cell]
Mo (0.5061, 0.7496, 0.9936) [1 per cell]
Mo (0.5378, 0.3264, 0.5518) [1 per cell]
Mo (0.7332, 0.3299, 0.1436) [1 per cell]
O (0.0255, 0.7281, 0.4951) [1 per cell]
O (0.0360, 0.0367, 0.7666) [1 per cell]
O (0.0567, 0.3535, 0.0254) [1 per cell]
O (0.1434, 0.4260, 0.8239) [1 per cell]
O (0.1525, 0.6444, 0.2996) [1 per cell]
O (0.2019, 0.7423, 0.0855) [1 per cell]
O (0.2480, 0.0278, 0.3637) [1 per cell]
O (0.2708, 0.3287, 0.6320) [1 per cell]
O (0.3246, 0.6795, 0.8898) [1 per cell]
O (0.3402, 0.0513, 0.9450) [1 per cell]
O (0.3868, 0.3866, 0.4244) [1 per cell]
O (0.4042, 0.7525, 0.6839) [1 per cell]
O (0.4857, 0.3014, 0.2341) [1 per cell]
O (0.5319, 0.6545, 0.5000) [1 per cell]
O (0.5581, 0.4024, 0.0283) [1 per cell]
O (0.6399, 0.7354, 0.2999) [1 per cell]
O (0.6458, 0.0400, 0.5594) [1 per cell]
O (0.6628, 0.3301, 0.8402) [1 per cell]
O (0.6947, 0.6555, 0.1180) [1 per cell]
O (0.7625, 0.3997, 0.6275) [1 per cell]
O (0.7989, 0.8344, 0.9398) [1 per cell]
O (0.8392, 0.0418, 0.1368) [1 per cell]
O (0.8907, 0.3279, 0.4328) [1 per cell]
O (0.9025, 0.6782, 0.7057) [1 per cell]
O (0.9745, 0.3673, 0.2284) [1 per cell]